Starting from a structure optimized by DFT (GGA+U), the powder X-ray diffraction pattern of ErMnFeO5 was simulated for Cu Kα (λ = 1.5418 Å).

Largest 10 diffraction maxima, by angle, 2θ = 15–90°:
- 2θ = 15.33°, I = 42.3
- 2θ = 28.66°, I = 70.8
- 2θ = 30.78°, I = 100.0
- 2θ = 33.66°, I = 36.9
- 2θ = 35.00°, I = 25.9
- 2θ = 41.21°, I = 25.4
- 2θ = 45.64°, I = 18.3
- 2θ = 46.37°, I = 17.2
- 2θ = 54.95°, I = 20.8
- 2θ = 59.22°, I = 23.0

Cell and atoms:
abc: 7.303 8.579 5.778
angles: 90.00 90.00 90.00
Fractional coordinates of all 32 atoms:
Er1 0.134 0.169 0.000
Er2 0.366 0.669 0.000
Er3 0.634 0.331 0.000
Er4 0.866 0.831 0.000
Mn1 0.000 0.500 0.248
Mn2 0.000 0.500 0.752
Mn3 0.500 0.000 0.248
Mn4 0.500 0.000 0.752
Fe1 0.107 0.854 0.500
Fe2 0.393 0.354 0.500
Fe3 0.607 0.646 0.500
Fe4 0.893 0.146 0.500
O1 0.000 0.000 0.264
O2 0.000 0.000 0.736
O3 0.108 0.705 0.239
O4 0.108 0.705 0.761
O5 0.150 0.430 0.500
O6 0.163 0.442 0.000
O7 0.337 0.942 0.000
O8 0.350 0.930 0.500
O9 0.392 0.205 0.239
O10 0.392 0.205 0.761
O11 0.500 0.500 0.264
O12 0.500 0.500 0.736
O13 0.608 0.795 0.239
O14 0.608 0.795 0.761
O15 0.650 0.070 0.500
O16 0.663 0.058 0.000
O17 0.837 0.558 0.000
O18 0.850 0.570 0.500
O19 0.892 0.295 0.239
O20 0.892 0.295 0.761

=====

Starting from a structure optimized by DFT (GGA+U), the powder X-ray diffraction pattern of ErMnFeO4 was simulated for Cu Kα (λ = 1.5418 Å).

Largest 10 diffraction maxima, by angle, 2θ = 15–90°:
- 2θ = 22.02°, I = 37.8
- 2θ = 29.19°, I = 100.0
- 2θ = 32.58°, I = 79.3
- 2θ = 33.29°, I = 35.4
- 2θ = 34.47°, I = 72.1
- 2θ = 47.74°, I = 42.6
- 2θ = 51.31°, I = 53.8
- 2θ = 56.49°, I = 17.8
- 2θ = 61.45°, I = 25.1
- 2θ = 62.55°, I = 33.2

Cell and atoms:
abc: 8.332 8.332 8.332
angles: 24.68 24.68 24.68
Fractional coordinates of all 7 atoms:
Er1 0.000 0.000 0.000
Mn1 0.791 0.791 0.791
Fe1 0.214 0.214 0.214
O1 0.129 0.129 0.129
O2 0.295 0.295 0.295
O3 0.712 0.712 0.712
O4 0.871 0.871 0.871